# 1
This entry pairs a crystal structure of Zr7As4N4 with its theoretical XRD peak list. Radiation: Cu Kα X-rays. Structure: DFT lattice parameters and positions (GGA-PBE).
Intensities are scaled so that the largest is 100.

Top 10 peaks for 2θ from 10° to 90°, most intense first:
| 2θ/deg | intensity | hkl |
| --- | --- | --- |
| 38.36 | 100 | 5 0 1 |
| 30.13 | 39 | 0 0 2 |
| 44.01 | 35 | 4 2 2 |
| 59.08 | 27 | 5 0 3 |
| 29.67 | 18 | 3 3 0 |
| 37.62 | 16 | 3 1 2 |
| 31.31 | 12 | 4 2 0 |
| 42.45 | 12 | 6 0 0 |
| 52.46 | 9 | 7 0 1 |
| 62.64 | 9 | 0 0 4 |

Unit cell a=12.775 b=12.775 c=5.932 alpha=90.00 beta=90.00 gamma=90.00
Space group I4/mmm (No. 139)
Symmetry-distinct sites (fractional):
Zr 0.000 0.000 0.246 x4
Zr 0.000 0.297 0.000 x8
Zr 0.000 0.374 0.500 x8
Zr 0.219 0.219 0.500 x8
As 0.000 0.175 0.500 x8
As 0.133 0.133 0.000 x8
N 0.135 0.365 0.250 x16


# 2
This entry pairs a crystal structure of K4TeH5 with its theoretical XRD peak list. Radiation: Cu Kα X-rays. Structure: DFT lattice parameters and positions (GGA-PBE).
Intensities are scaled so that the largest is 100.

Top 10 peaks for 2θ from 10° to 90°, most intense first:
| 2θ/deg | intensity | hkl |
| --- | --- | --- |
| 28.03 | 100 | 1 1 2 |
| 12.37 | 71 | 0 1 1 |
| 29.53 | 69 | 1 2 1 |
| 37.46 | 43 | 1 2 3 |
| 15.85 | 30 | 0 0 2 |
| 32.02 | 29 | 0 0 4 |
| 29.89 | 25 | 0 3 1 |
| 19.07 | 23 | 0 2 0 |
| 56.40 | 20 | 1 5 2 |
| 39.38 | 18 | 1 3 2 |

Unit cell a=4.259 b=9.307 c=11.182 alpha=90.00 beta=90.00 gamma=90.00
Space group Pmmn (No. 59, origin choice 2)
Symmetry-distinct sites (fractional):
K 0.250 0.038 0.249 x4
K 0.250 0.750 0.503 x2
K 0.250 0.750 0.997 x2
Te 0.250 0.250 0.750 x2
H 0.250 0.094 0.902 x4
H 0.250 0.095 0.598 x4
H 0.250 0.750 0.750 x2


# 3
This entry pairs a crystal structure of K4UP2O10 with its theoretical XRD peak list. Radiation: Cu Kα X-rays. Structure: DFT lattice parameters and positions (GGA-PBE).
Intensities are scaled so that the largest is 100.

Top 10 peaks for 2θ from 10° to 90°, most intense first:
| 2θ/deg | intensity | hkl |
| --- | --- | --- |
| 14.68 | 100 | 1 0 1 |
| 25.57 | 81 | 2 0 0 |
| 29.64 | 75 | 2 1 1 |
| 47.68 | 33 | 3 2 1 |
| 39.52 | 27 | 2 2 2 |
| 45.11 | 17 | 3 0 3 |
| 23.31 | 15 | 1 1 2 |
| 61.51 | 13 | 3 2 5 |
| 71.74 | 12 | 4 0 6 |
| 34.84 | 11 | 1 1 4 |

Unit cell a=6.957 b=6.957 c=12.088 alpha=90.00 beta=90.00 gamma=90.00
Space group P4_2/nmc (No. 137, origin choice 2)
Symmetry-distinct sites (fractional):
K 0.001 0.250 0.078 x8
U 0.250 0.750 0.250 x2
P 0.250 0.250 0.331 x4
O 0.066 0.250 0.401 x8
O 0.074 0.250 0.746 x8
O 0.250 0.750 0.097 x4


# 4
This entry pairs a crystal structure of Dy2AlNi3Ge4 with its theoretical XRD peak list. Radiation: Cu Kα X-rays. Structure: DFT lattice parameters and positions (GGA-PBE).
Intensities are scaled so that the largest is 100.

Top 10 peaks for 2θ from 10° to 90°, most intense first:
| 2θ/deg | intensity | hkl |
| --- | --- | --- |
| 36.06 | 100 | 1 1 2 |
| 34.37 | 65 | 1 0 3 |
| 45.03 | 52 | 2 0 0 |
| 49.80 | 33 | 1 0 5 |
| 57.85 | 29 | 2 1 3 |
| 31.42 | 25 | 1 1 0 |
| 69.38 | 24 | 2 1 5 |
| 77.18 | 21 | 3 1 2 |
| 65.57 | 16 | 2 2 0 |
| 23.73 | 10 | 1 0 1 |

Unit cell a=4.027 b=4.027 c=10.280 alpha=90.00 beta=90.00 gamma=90.00
Space group P-4m2 (No. 115)
Symmetry-distinct sites (fractional):
Dy 0.000 0.500 0.240 x2
Al 0.000 0.000 0.500 x1
Ni 0.000 0.500 0.874 x2
Ni 0.500 0.500 0.500 x1
Ge 0.000 0.000 0.000 x1
Ge 0.000 0.500 0.648 x2
Ge 0.500 0.500 0.000 x1


# 5
This entry pairs a crystal structure of NbAg3Se4 with its theoretical XRD peak list. Radiation: Cu Kα X-rays. Structure: DFT lattice parameters and positions (GGA-PBE).
Intensities are scaled so that the largest is 100.

Top 10 peaks for 2θ from 10° to 90°, most intense first:
| 2θ/deg | intensity | hkl |
| --- | --- | --- |
| 40.81 | 100 | 2 2 0 |
| 14.16 | 81 | 1 0 0 |
| 24.66 | 75 | 1 1 1 |
| 48.27 | 33 | 3 1 1 |
| 74.30 | 29 | 4 2 2 |
| 32.00 | 21 | 2 1 0 |
| 43.41 | 19 | 2 2 1 |
| 52.78 | 17 | 3 2 0 |
| 59.09 | 15 | 4 0 0 |
| 65.00 | 12 | 3 3 1 |

Unit cell a=6.254 b=6.254 c=6.254 alpha=90.00 beta=90.00 gamma=90.00
Space group P-43m (No. 215)
Symmetry-distinct sites (fractional):
Nb 0.000 0.000 0.000 x1
Ag 0.000 0.000 0.500 x3
Se 0.231 0.231 0.231 x4


# 6
This entry pairs a crystal structure of AlHF with its theoretical XRD peak list. Radiation: Cu Kα X-rays. Structure: DFT lattice parameters and positions (GGA-PBE).
Intensities are scaled so that the largest is 100.

Top 10 peaks for 2θ from 10° to 90°, most intense first:
| 2θ/deg | intensity | hkl |
| --- | --- | --- |
| 24.87 | 100 | 2 0 0 |
| 25.67 | 77 | 2 0 -2 |
| 40.38 | 61 | 1 1 -2 |
| 15.99 | 46 | 0 0 1 |
| 39.46 | 41 | 4 0 -2 |
| 52.20 | 25 | 1 1 2 |
| 48.95 | 22 | 3 1 0 |
| 61.05 | 17 | 3 1 -4 |
| 65.74 | 14 | 5 1 -4 |
| 32.63 | 12 | 1 1 0 |

Unit cell a=9.139 b=2.971 c=7.072 alpha=90.00 beta=128.41 gamma=90.00
Space group C2/m (No. 12)
Symmetry-distinct sites (fractional):
Al 0.177 0.000 0.112 x4
H 0.131 0.500 0.877 x4
F 0.232 0.000 0.683 x4